No. 1
Diffraction record for Ce8FePb4. The powder diffraction line list is calculated, not measured: it uses a crystal structure in Alexandria, relaxed with GGA-PBE and Cu Kα.
Neutral-atom scattering factors, no anomalous dispersion.

Crystal structure
```
13
Lattice="4.183 0.000 0.000 0.000 5.195 0.000 -0.797 0.000 16.186" Properties=species:S:1:pos:R:3 pbc="T T T"
Ce 0.000 0.000 0.000
Ce -0.355 2.598 7.889
Ce 1.292 2.598 15.556
Ce 2.098 0.000 2.000
Ce 2.054 2.598 4.664
Ce 2.216 0.000 7.420
Ce 3.371 0.000 10.888
Ce 3.392 2.598 13.568
Fe 0.856 0.000 9.109
Pb 0.000 2.598 1.991
Pb 0.015 0.000 4.866
Pb 1.375 2.598 10.600
Pb 1.294 0.000 13.569
```

Most intense lines, 15° ≤ 2θ ≤ 90°, by angle:
2θ/deg	d (Å)	I_rel
31.55	2.836	66
32.66	2.741	100
33.21	2.698	23
34.53	2.598	46
34.70	2.585	21
43.34	2.088	21
48.66	1.871	16
60.69	1.526	17

***

No. 2
Diffraction record for Ce7Fe2Pb3. The powder diffraction line list is calculated, not measured: it uses a crystal structure in Alexandria, relaxed with GGA-PBE and Cu Kα.
Neutral-atom scattering factors, no anomalous dispersion.

Crystal structure
```
12
Lattice="13.208 -2.497 0.000 13.208 2.497 0.000 -0.001 0.000 4.867" Properties=species:S:1:pos:R:3 pbc="T T T"
Ce 0.000 0.000 0.000
Ce 5.444 0.000 4.851
Ce 10.338 0.000 4.848
Ce 13.316 0.000 2.419
Ce 15.931 0.000 4.852
Ce 18.543 0.000 2.415
Ce 21.519 0.000 4.846
Fe 13.227 0.000 4.779
Fe 18.632 0.000 4.829
Pb 2.722 0.000 2.414
Pb 7.773 0.000 2.414
Pb 24.086 0.000 2.417
```

Most intense lines, 15° ≤ 2θ ≤ 90°, by angle:
2θ/deg	d (Å)	I_rel
30.73	2.910	100
33.94	2.642	23
35.96	2.497	23
36.93	2.434	22
50.28	1.815	15
51.03	1.790	15
52.50	1.743	16
64.00	1.455	15

***

No. 3
Diffraction record for Ce8Fe2Pb. The powder diffraction line list is calculated, not measured: it uses a crystal structure in Alexandria, relaxed with GGA-PBE and Cu Kα.
Neutral-atom scattering factors, no anomalous dispersion.

Crystal structure
```
11
Lattice="4.325 -7.013 0.000 4.325 7.013 0.000 -0.503 0.000 4.649" Properties=species:S:1:pos:R:3 pbc="T T T"
Ce 0.491 0.000 3.478
Ce 2.446 1.819 2.214
Ce 4.325 3.862 0.000
Ce 2.446 -1.819 2.214
Ce 5.701 1.819 2.436
Ce 4.325 -3.862 0.000
Ce 5.701 -1.819 2.436
Ce 7.656 0.000 1.172
Fe 4.073 4.286 2.325
Fe 4.073 -4.286 2.325
Pb 4.325 0.000 0.000
```

Most intense lines, 15° ≤ 2θ ≤ 90°, by angle:
2θ/deg	d (Å)	I_rel
28.24	3.160	57
29.78	3.000	82
31.97	2.799	100
32.96	2.717	89
35.56	2.525	57
36.78	2.444	63
53.64	1.709	34
61.25	1.513	39

***

No. 4
Diffraction record for Ce4FeRu. The powder diffraction line list is calculated, not measured: it uses a crystal structure in Alexandria, relaxed with GGA-PBE and Cu Kα.
Neutral-atom scattering factors, no anomalous dispersion.

Crystal structure
```
12
Lattice="-4.476 4.476 4.064 4.476 -4.476 4.064 4.476 4.476 -4.064" Properties=species:S:1:pos:R:3 pbc="T T T"
Ce 4.476 1.749 -0.186
Ce 2.727 4.476 -2.218
Ce 1.749 0.000 1.846
Ce 0.000 2.720 0.000
Ce 0.000 6.233 0.000
Ce 2.720 4.476 2.032
Ce 1.756 0.000 6.097
Ce 0.000 2.727 3.878
Fe 0.000 4.476 1.939
Fe 0.000 0.000 8.035
Ru 4.476 0.000 1.947
Ru 0.000 0.000 3.979
```

Most intense lines, 15° ≤ 2θ ≤ 90°, by angle:
2θ/deg	d (Å)	I_rel
19.83	4.476	29
28.19	3.165	17
29.69	3.009	100
31.60	2.831	39
38.76	2.323	38
40.29	2.238	23
44.59	2.032	16
48.61	1.873	42

***

No. 5
Diffraction record for Ce2Fe2S5. The powder diffraction line list is calculated, not measured: it uses a crystal structure in Alexandria, relaxed with GGA-PBE and Cu Kα.
Neutral-atom scattering factors, no anomalous dispersion.

Crystal structure
```
18
Lattice="1.954 -8.288 0.000 1.954 8.288 0.000 0.000 0.000 10.961" Properties=species:S:1:pos:R:3 pbc="T T T"
Ce 1.954 6.420 5.481
Ce 1.954 6.378 1.185
Ce 1.954 -6.378 6.665
Ce 1.954 -6.420 0.000
Fe 1.954 4.424 3.287
Fe 1.954 1.590 3.433
Fe 1.954 -1.590 8.914
Fe 1.954 -4.424 8.767
S 1.954 7.776 8.181
S 1.954 3.235 5.131
S 1.954 3.110 1.527
S 1.954 2.638 8.772
S 1.954 0.179 5.501
S 1.954 -0.179 0.021
S 1.954 -2.638 3.291
S 1.954 -3.110 7.007
S 1.954 -3.235 10.612
S 1.954 -7.776 2.700
```

Most intense lines, 15° ≤ 2θ ≤ 90°, by angle:
2θ/deg	d (Å)	I_rel
21.44	4.144	47
24.78	3.593	67
26.66	3.343	48
28.57	3.125	56
32.47	2.758	44
32.68	2.740	49
39.25	2.296	100
46.48	1.954	40

***

No. 6
Diffraction record for Ce2Fe2S5. The powder diffraction line list is calculated, not measured: it uses a crystal structure in Alexandria, relaxed with GGA-PBE and Cu Kα.
Neutral-atom scattering factors, no anomalous dispersion.

Crystal structure
```
18
Lattice="1.931 -8.157 0.000 1.931 8.157 0.000 0.000 0.000 10.755" Properties=species:S:1:pos:R:3 pbc="T T T"
Ce 1.931 6.284 5.377
Ce 1.931 6.148 1.207
Ce 1.931 -6.148 6.584
Ce 1.931 -6.284 0.000
Fe 1.931 4.990 8.650
Fe 1.931 1.559 3.532
Fe 1.931 -1.559 8.910
Fe 1.931 -4.990 3.273
S 1.931 7.590 7.992
S 1.931 3.352 4.948
S 1.931 3.186 1.662
S 1.931 2.495 8.654
S 1.931 0.227 5.454
S 1.931 -0.227 0.076
S 1.931 -2.495 3.277
S 1.931 -3.186 7.039
S 1.931 -3.352 10.326
S 1.931 -7.590 2.614
```

Most intense lines, 15° ≤ 2θ ≤ 90°, by angle:
2θ/deg	d (Å)	I_rel
21.79	4.079	67
27.17	3.282	80
28.99	3.080	46
32.96	2.717	34
34.58	2.594	100
39.86	2.261	98
47.06	1.931	39
51.45	1.776	35